For LiBiO3, a crystal structure in the Materials Project, relaxed with GGA-PBE gives the computed X-ray diffraction stick pattern in this record (Cu Kα, 1.54184 Å).
Kinematic intensities with the Lorentz-polarization factor, no thermal factor.

Principal peaks in the range 2θ from 10° to 90°, low angle first:
| index | 2θ/deg | I_rel |
| --- | --- | --- |
| 0 1 2 | 19.0 | 462 |
| 1 1 1 | 21.8 | 1000 |
| 1 2 1 | 27.8 | 768 |
| 1 1 3 | 31.9 | 570 |
| 0 3 2 | 34.0 | 386 |
| 2 3 2 | 50.1 | 417 |

Structure:
a = 5.037 Å, b = 9.021 Å, c = 10.946 Å
α = 90.00°, β = 90.00°, γ = 90.00°
Fractional positions:
Li 0.001 0.212 0.097
Li 0.001 0.288 0.597
Li 0.499 0.212 0.597
Li 0.499 0.288 0.097
Li 0.501 0.712 0.903
Li 0.501 0.788 0.403
Li 0.999 0.712 0.403
Li 0.999 0.788 0.903
Bi 0.004 0.086 0.363
Bi 0.004 0.414 0.863
Bi 0.496 0.086 0.863
Bi 0.496 0.414 0.363
Bi 0.504 0.586 0.637
Bi 0.504 0.914 0.137
Bi 0.996 0.586 0.137
Bi 0.996 0.914 0.637
O 0.190 0.095 0.543
O 0.190 0.405 0.043
O 0.225 0.585 0.300
O 0.225 0.915 0.800
O 0.250 0.250 0.278
O 0.250 0.250 0.778
O 0.250 0.750 0.050
O 0.250 0.750 0.550
O 0.275 0.585 0.800
O 0.275 0.915 0.300
O 0.310 0.095 0.043
O 0.310 0.405 0.543
O 0.690 0.595 0.457
O 0.690 0.905 0.957
O 0.725 0.085 0.700
O 0.725 0.415 0.200
O 0.750 0.250 0.450
O 0.750 0.250 0.950
O 0.750 0.750 0.222
O 0.750 0.750 0.722
O 0.775 0.085 0.200
O 0.775 0.415 0.700
O 0.810 0.595 0.957
O 0.810 0.905 0.457